Calculated powder diffraction line list of Cs3Ac3CrO8 for Cu Kα X-rays, from a crystal structure in Alexandria, relaxed with GGA+U.
Lines closer than 0.1° are merged.

The 10 most intense peaks (2θ from 10° to 80°), low angle first:
| d/Å | I_rel | index |
| --- | --- | --- |
| 7.003 | 53 | 0 0 1 |
| 5.438 | 31 | 1 1 -1 |
| 3.502 | 75 | 0 0 2 |
| 3.073 | 47 | 4 0 -2 |
| 3.054 | 93 | 2 2 0 |
| 2.760 | 53 | 4 0 0 |
| 2.719 | 100 | 2 2 -2 |
| 2.032 | 38 | 2 2 2 |
| 1.854 | 33 | 6 2 -2 |
| 1.750 | 37 | 2 2 -4 |

Unit cell a=12.894 b=7.334 c=8.181 alpha=90.00 beta=121.12 gamma=90.00
Space group C2/m (No. 12)
Unique sites:
1 Cs 0.000 0.000 0.000 (multiplicity 2)
2 Cs 0.250 0.250 0.000 (multiplicity 4)
3 Ac 0.000 0.500 0.500 (multiplicity 2)
4 Ac 0.250 0.250 0.500 (multiplicity 4)
5 Cr 0.000 0.000 0.500 (multiplicity 2)
6 O 0.017 0.205 0.348 (multiplicity 8)
7 O 0.198 0.000 0.657 (multiplicity 4)
8 O 0.223 0.500 0.677 (multiplicity 4)